Computed PXRD pattern
Compound: H
Radiation: Cu Kα (weighted mean of Kα1 and Kα2)
Structure: the PBE geometry in the Materials Project
Neutral-atom scattering factors, no anomalous dispersion.

Main lines, in order of rising 2θ (2θ from 15° to 90°):
| d_spacing | intensity | hkl |
| --- | --- | --- |
| 3.151 | 1000 | 1 1 0 |
| 2.571 | 454 | 1 0 1 |
| 2.228 | 211 | 2 0 0 |
| 1.684 | 89 | 2 1 1 |
| 1.576 | 27 | 2 2 0 |
| 1.409 | 24 | 3 1 0 |

Crystal structure
```
4
Lattice="4.4568 0.0000 0.0000 0.0000 4.4568 0.0000 0.0000 0.0000 3.1479" Properties=species:S:1:pos:R:3 pbc="T T T"
H 0.0000 0.0000 0.3751
H 0.0000 0.0000 2.7728
H 2.2284 2.2284 1.1988
H 2.2284 2.2284 1.9490
```

Computed PXRD pattern
Compound: HfTe7SeCl6
Radiation: Cu Kα (weighted mean of Kα1 and Kα2)
Structure: the PBE geometry in the Materials Project
Neutral-atom scattering factors, no anomalous dispersion.

Main lines, in order of rising 2θ (2θ from 15° to 90°):
| d_spacing | intensity | hkl |
| --- | --- | --- |
| 5.489 | 1000 | 2 0 0 |
| 5.252 | 622 | 1 2 0 |
| 4.914 | 696 | 2 1 -2 |
| 3.974 | 783 | 1 2 2 |
| 3.124 | 623 | 3 2 0 |
| 2.669 | 600 | 2 4 -1 |

Crystal structure
```
60
Lattice="11.7099 0.0000 0.0000 0.0000 11.9910 0.0000 -5.4547 0.0000 14.6850" Properties=species:S:1:pos:R:3 pbc="T T T"
Hf 1.8732 2.5873 1.4421
Hf -0.8541 3.4082 8.7846
Hf 7.1094 8.5828 5.9004
Hf 4.3820 9.4037 13.2429
Te -2.9264 7.9226 11.7943
Te -0.1991 10.0640 4.4518
Te 0.9142 8.5710 2.4010
Te -1.8131 9.4155 9.7435
Te -0.1500 7.7721 6.6085
Te -2.8773 10.2144 13.9510
Te -1.4935 0.1681 12.4965
Te 1.2339 5.8274 5.1540
Te -0.6320 6.5860 12.6095
Te 2.0953 11.4005 5.2670
Te 3.9304 6.7448 0.5491
Te 1.2031 11.2418 7.8916
Te 2.9723 7.5990 3.9487
Te 0.2450 10.3875 11.2912
Te 6.0103 1.6035 3.3938
Te 3.2829 4.3920 10.7363
Te 5.0522 0.7492 6.7934
Te 2.3248 5.2463 14.1359
Te 4.1599 0.5905 9.4180
Te 6.8872 5.4050 2.0755
Te 5.0214 6.1636 9.5310
Te 7.7487 11.8229 2.1885
Te 9.1326 1.7766 0.7340
Te 6.4053 4.2189 8.0765
Te 8.0684 2.5755 4.9415
Te 5.3411 3.4200 12.2840
Te 6.4543 1.9271 10.2332
Te 9.1817 4.0684 2.8907
Se 1.8474 8.7374 7.8624
Se 4.5748 9.2491 0.5199
Se 1.6805 2.7419 14.1651
Se 4.4078 3.2536 6.8226
Cl -4.3962 1.4169 14.0955
Cl -1.6689 4.5786 6.7530
Cl -2.2486 1.4694 8.3449
Cl 0.4787 4.5261 1.0024
Cl -0.0081 1.6825 2.7843
Cl -2.7354 4.3130 10.1268
Cl 0.9200 2.4617 7.3874
Cl 3.6473 3.5338 0.0449
Cl 3.1765 0.5313 1.9599
Cl 0.4492 5.4642 9.3024
Cl 0.1696 2.3685 10.7684
Cl 2.8969 3.6270 3.4259
Cl 3.3583 8.3640 11.2590
Cl 6.0857 9.6225 3.9165
Cl 5.8061 6.5268 5.3825
Cl 3.0788 11.4597 12.7250
Cl 2.6079 8.4573 14.6401
Cl 5.3352 9.5293 7.2976
Cl 8.9907 7.6780 4.5581
Cl 6.2633 10.3086 11.9006
Cl 5.7765 7.4649 13.6826
Cl 8.5038 10.5216 6.3401
Cl 7.9242 7.4124 7.9320
Cl 10.6515 10.5741 0.5895
```

Computed PXRD pattern
Compound: HoAg2
Radiation: Cu Kα (weighted mean of Kα1 and Kα2)
Structure: the PBE geometry in the Materials Project
Neutral-atom scattering factors, no anomalous dispersion.

Main lines, in order of rising 2θ (2θ from 15° to 90°):
| d_spacing | intensity | hkl |
| --- | --- | --- |
| 2.647 | 682 | 1 1 0 |
| 2.376 | 1000 | 1 0 3 |
| 1.872 | 241 | 2 0 0 |
| 1.470 | 427 | 2 1 3 |
| 1.329 | 151 | 1 1 6 |
| 1.188 | 106 | 2 0 6 |

Crystal structure
```
6
Lattice="3.7439 0.0000 0.0000 0.0000 3.7439 0.0000 0.0000 0.0000 9.2230" Properties=species:S:1:pos:R:3 pbc="T T T"
Ho 0.0000 0.0000 0.0000
Ho 1.8719 1.8719 4.6115
Ag 0.0000 0.0000 3.0541
Ag 0.0000 0.0000 6.1689
Ag 1.8719 1.8719 1.5574
Ag 1.8719 1.8719 7.6656
```